1.
Ac4ZnN: simulated powder X-ray diffraction pattern (Cu Kα (weighted mean of Kα1 and Kα2)), based on a cell relaxed with GGA-PBE.
Neutral-atom scattering factors, no anomalous dispersion.

Main lines, low angle first (15 to 90 degrees two-theta):
2θ/deg, intensity, index
21.53, 14, 2 1 0
23.78, 14, 0 2 0
26.61, 100, 2 1 1
28.49, 30, 0 2 1
29.92, 29, 1 2 1
31.22, 44, 0 0 2
36.32, 17, 4 0 0
40.50, 14, 2 3 0
48.62, 18, 4 0 2
52.00, 14, 2 3 2
52.78, 16, 2 1 3
54.87, 16, 5 2 1

Cell lengths 9.8941, 7.4822, 5.7344 Å; angles 90.00, 90.00, 90.00 degrees
Space group Pmn2_1 (No. 31)
One atom of each set of equivalent atoms:
Ac1 0.0000 0.1116 0.0000 x2
Ac2 0.0000 0.7950 0.5053 x2
Ac3 0.2049 0.2947 0.5065 x4
Zn1 0.0000 0.5264 0.0086 x2
N1 0.0000 0.1187 0.5465 x2

***

2.
Na3Ac: simulated powder X-ray diffraction pattern (Cu Kα (weighted mean of Kα1 and Kα2)), based on a cell relaxed with GGA-PBE.
Neutral-atom scattering factors, no anomalous dispersion.

Main lines, low angle first (15 to 90 degrees two-theta):
2θ/deg, intensity, index
24.05, 46, 1 0 2
26.16, 67, 1 0 3
28.88, 100, 1 0 4
31.64, 42, 1 1 0
32.00, 43, 1 1 1
42.37, 16, 1 1 6
45.35, 16, 2 0 0
45.72, 19, 1 1 7
49.36, 19, 1 1 8
53.10, 20, 2 1 3
54.66, 34, 2 1 4
56.64, 17, 2 0 7

Cell lengths 3.9998, 3.9998, 19.4978 Å; angles 90.00, 90.00, 90.00 degrees
Space group P4/nmm (No. 129, origin choice 2)
One atom of each set of equivalent atoms:
Na1 0.2500 0.2500 0.0586 x2
Na2 0.2500 0.2500 0.2889 x2
Na3 0.2500 0.2500 0.8255 x2
Ac1 0.2500 0.2500 0.5702 x2